1.
Ba4MgGa: calculated powder diffraction line list (Cu Ka), based on the PBE geometry in Alexandria.
Intensities are scaled so that the largest is 100.

Top 8 peaks for 2θ = 15–90°, sorted by position:
two_theta	I (rel.)
21.7	43
23.0	24
27.2	100
29.8	59
35.9	25
37.9	26
42.6	22
51.3	34

Cell and atoms:
```
6
Lattice="4.2425 0.0000 0.0000 0.0000 4.2425 0.0000 0.0000 0.0000 15.4984" Properties=species:S:1:pos:R:3 pbc="T T T"
Ba 0.0000 0.0000 1.9019
Ba 0.0000 0.0000 13.5965
Ba 2.1212 2.1212 5.5601
Ba 2.1212 2.1212 9.9383
Mg 0.0000 0.0000 7.7492
Ga 2.1212 2.1212 0.0000
```

2.
Rb3VTe4: calculated powder diffraction line list (Cu Ka), based on the PBE geometry in Alexandria.
Intensities are scaled so that the largest is 100.

Top 8 peaks for 2θ = 15–90°, sorted by position:
two_theta	I (rel.)
23.8	45
25.0	54
26.3	99
26.6	98
27.7	95
28.0	66
29.0	100
33.9	56

Cell and atoms:
```
32
Lattice="10.5799 0.0000 0.0000 0.0000 12.1713 0.0000 0.0000 0.0000 10.5994" Properties=species:S:1:pos:R:3 pbc="T T T"
Rb 0.4986 0.5509 2.1425
Rb 0.4986 5.5348 2.1425
Rb 1.4608 9.1285 4.3237
Rb 3.8291 3.0428 9.6234
Rb 4.7913 6.6366 7.4423
Rb 4.7913 11.6204 7.4423
Rb 5.7886 0.5509 3.1572
Rb 5.7886 5.5348 3.1572
Rb 6.7508 9.1285 0.9760
Rb 9.1190 3.0428 6.2757
Rb 10.0812 6.6366 8.4569
Rb 10.0812 11.6204 8.4569
V 2.3123 9.1285 10.4097
V 2.9776 3.0428 5.1099
V 7.6023 9.1285 5.4895
V 8.2676 3.0428 0.1898
Te 0.0123 3.0428 9.7874
Te 1.7591 0.9665 5.8241
Te 1.7591 5.1192 5.8241
Te 2.1415 9.1285 7.9029
Te 3.1485 3.0428 2.6032
Te 3.5309 7.0521 0.5243
Te 3.5309 11.2049 0.5243
Te 5.2777 9.1285 4.4877
Te 5.3022 3.0428 6.1118
Te 7.0490 0.9665 10.0751
Te 7.0490 5.1192 10.0751
Te 7.4314 9.1285 7.9963
Te 8.4384 3.0428 2.6965
Te 8.8208 7.0521 4.7754
Te 8.8208 11.2049 4.7754
Te 10.5676 9.1285 0.8121
```

3.
RbCd3Hg10: calculated powder diffraction line list (Cu Ka), based on the PBE geometry in Alexandria.
Intensities are scaled so that the largest is 100.

Top 8 peaks for 2θ = 15–90°, sorted by position:
two_theta	I (rel.)
16.5	22
26.2	19
30.6	100
33.4	32
35.0	53
39.4	25
51.0	23
59.7	20

Cell and atoms:
```
28
Lattice="0.0000 7.5928 7.5928 7.5928 0.0000 7.5928 7.5928 7.5928 0.0000" Properties=species:S:1:pos:R:3 pbc="T T T"
Rb 3.7964 3.7964 3.7964
Rb 11.3892 11.3892 11.3892
Cd 7.5928 7.5928 3.6460
Cd 7.5928 3.6460 7.5928
Cd 11.5396 7.5928 7.5928
Cd 3.6460 7.5928 7.5928
Cd 7.5928 11.5396 7.5928
Cd 7.5928 7.5928 11.5396
Hg 1.7058 1.7058 1.7058
Hg 5.8870 5.8870 1.7058
Hg 5.8870 1.7058 5.8870
Hg 7.5928 4.9255 4.9255
Hg 10.2601 7.5928 4.9255
Hg 10.2601 4.9255 7.5928
Hg 13.4798 9.2986 9.2986
Hg 4.9255 7.5928 4.9255
Hg 7.5928 10.2601 4.9255
Hg 4.9255 4.9255 7.5928
Hg 10.2601 10.2601 7.5928
Hg 7.5928 4.9255 10.2601
Hg 10.2601 7.5928 10.2601
Hg 1.7058 5.8870 5.8870
Hg 4.9255 10.2601 7.5928
Hg 4.9255 7.5928 10.2601
Hg 7.5928 10.2601 10.2601
Hg 9.2986 13.4798 9.2986
Hg 9.2986 9.2986 13.4798
Hg 13.4798 13.4798 13.4798
```

4.
AcGa2Cu5: calculated powder diffraction line list (Cu Ka), based on the PBE geometry in Alexandria.
Intensities are scaled so that the largest is 100.

Top 8 peaks for 2θ = 15–90°, sorted by position:
two_theta	I (rel.)
30.0	32
31.3	67
35.0	76
35.5	100
44.7	39
45.2	55
49.4	25
65.4	35

Cell and atoms:
```
16
Lattice="4.0588 0.0000 0.0000 0.0000 6.8376 0.0000 0.0000 0.0000 9.9165" Properties=species:S:1:pos:R:3 pbc="T T T"
Ac 0.0000 0.0000 0.0000
Ac 2.0294 3.4188 4.9582
Ga 0.0000 3.4188 2.4202
Ga 0.0000 3.4188 7.4962
Ga 2.0294 0.0000 2.5380
Ga 2.0294 0.0000 7.3785
Cu 0.0000 1.2200 3.6425
Cu 0.0000 1.2200 6.2740
Cu 0.0000 3.4188 0.0000
Cu 0.0000 5.6177 3.6425
Cu 0.0000 5.6177 6.2740
Cu 2.0294 0.0000 4.9582
Cu 2.0294 2.1988 1.3157
Cu 2.0294 2.1988 8.6008
Cu 2.0294 4.6388 1.3157
Cu 2.0294 4.6388 8.6008
```

5.
Hf3Sb4Pd3: calculated powder diffraction line list (Cu Ka), based on the PBE geometry in Alexandria.
Intensities are scaled so that the largest is 100.

Top 8 peaks for 2θ = 15–90°, sorted by position:
two_theta	I (rel.)
30.0	24
35.7	100
43.0	39
47.3	13
53.3	16
60.6	10
67.5	11
69.1	10

Cell and atoms:
```
20
Lattice="-4.7067 4.7067 4.7067 4.7067 -4.7067 4.7067 4.7067 4.7067 -4.7067" Properties=species:S:1:pos:R:3 pbc="T T T"
Hf 7.0601 1.1767 0.0000
Hf 3.5300 0.0000 2.3534
Hf 2.3534 3.5300 0.0000
Hf 0.0000 2.3534 3.5300
Hf 1.1767 0.0000 7.0601
Hf 0.0000 7.0601 1.1767
Sb 3.8424 0.8643 -0.8643
Sb 6.1958 -1.4890 1.4890
Sb 0.8643 0.8643 0.8643
Sb 0.8643 -0.8643 3.8424
Sb -0.8643 3.8424 0.8643
Sb 1.4890 6.1958 -1.4890
Sb 3.2177 3.2177 3.2177
Sb -1.4890 1.4890 6.1958
Pd 4.7067 -2.3534 3.5300
Pd 3.5300 4.7067 -2.3534
Pd 4.7067 2.3534 1.1767
Pd 2.3534 1.1767 4.7067
Pd 1.1767 4.7067 2.3534
Pd -2.3534 3.5300 4.7067
```